Computed X-ray powder pattern
Compound: FeAsP2
Radiation: λ = 1.5418 Å (Cu Kα)
Structure: a cell relaxed with GGA-PBE
Neutral-atom scattering factors, no anomalous dispersion.

Main lines, in order of rising 2θ (10 to 90 degrees two-theta):
two_theta  Rel. int.
16.62  58
27.33  40
33.00  25
35.49  100
38.00  21
43.42  39
47.23  18
47.58  41
51.39  17
55.35  18

Cell and atoms:
Cell: 3.977 3.977 5.442 Å, 100.36 100.36 49.34°
Atoms (fractional coordinates):
Fe: 0.000 0.000 0.000
As: 0.727 0.727 0.282
P: 0.288 0.288 0.944
P: 0.464 0.464 0.677


Computed X-ray powder pattern
Compound: FeAsPb2
Radiation: λ = 1.5418 Å (Cu Kα)
Structure: a cell relaxed with GGA-PBE
Neutral-atom scattering factors, no anomalous dispersion.

Main lines, in order of rising 2θ (10 to 90 degrees two-theta):
two_theta  Rel. int.
29.25  100
31.78  42
34.66  96
38.90  66
42.34  17
51.07  45
56.18  23
64.59  23
66.01  21
67.72  28

Cell and atoms:
Cell: 3.274 3.274 8.447 Å, 90.00 90.00 90.00°
Atoms (fractional coordinates):
Fe: 0.000 0.000 0.000
As: 0.500 0.500 0.891
Pb: 0.000 0.000 0.615
Pb: 0.500 0.500 0.254


Computed X-ray powder pattern
Compound: Pm3FeAs
Radiation: λ = 1.5418 Å (Cu Kα)
Structure: a cell relaxed with GGA-PBE
Neutral-atom scattering factors, no anomalous dispersion.

Main lines, in order of rising 2θ (10 to 90 degrees two-theta):
two_theta  Rel. int.
17.33  23
30.26  100
35.08  80
39.38  12
50.46  57
59.97  44
62.93  19
74.14  9
82.12  18
84.74  25

Cell and atoms:
Cell: 5.116 5.116 5.116 Å, 90.00 90.00 90.00°
Atoms (fractional coordinates):
Pm: 0.000 0.000 0.500
Pm: 0.000 0.500 0.000
Pm: 0.500 0.000 0.000
Fe: 0.000 0.000 0.000
As: 0.500 0.500 0.500


Computed X-ray powder pattern
Compound: Pr6Fe13As
Radiation: λ = 1.5418 Å (Cu Kα)
Structure: a cell relaxed with GGA-PBE
Neutral-atom scattering factors, no anomalous dispersion.

Main lines, in order of rising 2θ (10 to 90 degrees two-theta):
two_theta  Rel. int.
27.38  67
31.51  100
34.80  29
35.32  74
38.34  57
38.70  28
43.27  33
46.78  36
58.22  29
67.64  29

Cell and atoms:
Cell: 12.891 12.891 12.891 Å, 143.68 143.68 52.31°
Atoms (fractional coordinates):
Pr: 0.024 0.524 0.171
Pr: 0.108 0.108 0.000
Pr: 0.147 0.976 0.500
Pr: 0.353 0.853 0.829
Pr: 0.392 0.392 0.000
Pr: 0.476 0.647 0.500
Pr: 0.524 0.353 0.500
Pr: 0.608 0.608 0.000
Pr: 0.647 0.147 0.171
Pr: 0.853 0.024 0.500
Pr: 0.892 0.892 0.000
Pr: 0.976 0.476 0.829
Fe: 0.000 0.500 0.500
Fe: 0.019 0.292 0.500
Fe: 0.067 0.209 0.276
Fe: 0.119 0.619 0.857
Fe: 0.208 0.481 0.500
Fe: 0.209 0.933 0.142
Fe: 0.238 0.738 0.857
Fe: 0.262 0.119 0.500
Fe: 0.291 0.433 0.724
Fe: 0.292 0.792 0.273
Fe: 0.381 0.238 0.500
Fe: 0.433 0.709 0.142
Fe: 0.481 0.981 0.273
Fe: 0.500 0.000 0.500
Fe: 0.519 0.019 0.727
Fe: 0.567 0.291 0.858
Fe: 0.619 0.762 0.500
Fe: 0.708 0.208 0.727
Fe: 0.709 0.567 0.276
Fe: 0.738 0.881 0.500
Fe: 0.762 0.262 0.143
Fe: 0.791 0.067 0.858
Fe: 0.792 0.519 0.500
Fe: 0.881 0.381 0.143
Fe: 0.933 0.791 0.724
Fe: 0.981 0.708 0.500
As: 0.250 0.250 0.000
As: 0.750 0.750 0.000


Computed X-ray powder pattern
Compound: PuFeAs3
Radiation: λ = 1.5418 Å (Cu Kα)
Structure: a cell relaxed with GGA-PBE
Neutral-atom scattering factors, no anomalous dispersion.

Main lines, in order of rising 2θ (10 to 90 degrees two-theta):
two_theta  Rel. int.
23.97  71
27.34  39
35.61  53
36.10  44
38.01  21
38.14  100
39.61  27
40.04  25
46.46  50
61.94  25

Cell and atoms:
Cell: 11.836 5.573 5.485 Å, 90.00 90.00 90.00°
Atoms (fractional coordinates):
Pu: 0.193 0.004 0.250
Pu: 0.193 0.496 0.750
Pu: 0.807 0.504 0.250
Pu: 0.807 0.996 0.750
Fe: 0.410 0.750 0.000
Fe: 0.410 0.750 0.500
Fe: 0.590 0.250 0.000
Fe: 0.590 0.250 0.500
As: 0.002 0.750 0.000
As: 0.002 0.750 0.500
As: 0.287 0.504 0.250
As: 0.287 0.996 0.750
As: 0.437 0.103 0.250
As: 0.437 0.397 0.750
As: 0.563 0.603 0.250
As: 0.563 0.897 0.750
As: 0.713 0.004 0.250
As: 0.713 0.496 0.750
As: 0.998 0.250 0.000
As: 0.998 0.250 0.500


Computed X-ray powder pattern
Compound: Fe2ReAs
Radiation: λ = 1.5418 Å (Cu Kα)
Structure: a cell relaxed with GGA-PBE
Neutral-atom scattering factors, no anomalous dispersion.

Main lines, in order of rising 2θ (10 to 90 degrees two-theta):
two_theta  Rel. int.
21.34  21
21.52  11
30.49  10
36.71  11
42.85  100
43.47  24
43.86  23
63.46  15
79.36  16
79.91  15

Cell and atoms:
Cell: 3.040 4.129 4.164 Å, 90.00 90.00 90.00°
Atoms (fractional coordinates):
Fe: 0.000 0.000 0.000
Fe: 0.500 0.500 0.000
Re: 0.000 0.500 0.500
As: 0.500 0.000 0.500


Computed X-ray powder pattern
Compound: Fe2AsRh
Radiation: λ = 1.5418 Å (Cu Kα)
Structure: a cell relaxed with GGA-PBE
Neutral-atom scattering factors, no anomalous dispersion.

Main lines, in order of rising 2θ (10 to 90 degrees two-theta):
two_theta  Rel. int.
15.19  4
33.38  11
42.28  55
43.09  100
61.33  17
63.82  7
64.81  4
71.65  3
77.88  32
79.57  14

Cell and atoms:
Cell: 3.023 3.023 5.834 Å, 90.00 90.00 90.00°
Atoms (fractional coordinates):
Fe: 0.000 0.000 0.000
Fe: 0.500 0.500 0.226
As: 0.500 0.500 0.769
Rh: 0.000 0.000 0.498


Computed X-ray powder pattern
Compound: Fe2AsRh
Radiation: λ = 1.5418 Å (Cu Kα)
Structure: a cell relaxed with GGA-PBE
Neutral-atom scattering factors, no anomalous dispersion.

Main lines, in order of rising 2θ (10 to 90 degrees two-theta):
two_theta  Rel. int.
39.53  100
41.74  42
45.47  33
47.88  56
49.55  24
64.11  11
68.63  17
74.07  14
79.47  12
82.08  11

Cell and atoms:
Cell: 4.313 4.313 4.650 Å, 100.13 100.13 39.36°
Atoms (fractional coordinates):
Fe: 0.000 0.000 0.000
Fe: 0.740 0.740 0.207
As: 0.495 0.495 0.461
Rh: 0.249 0.249 0.715


Computed X-ray powder pattern
Compound: Fe2AsRu
Radiation: λ = 1.5418 Å (Cu Kα)
Structure: a cell relaxed with GGA-PBE
Neutral-atom scattering factors, no anomalous dispersion.

Main lines, in order of rising 2θ (10 to 90 degrees two-theta):
two_theta  Rel. int.
36.95  36
43.15  100
43.81  35
46.73  48
58.62  18
63.80  11
71.98  15
80.05  15
82.67  25
88.23  16

Cell and atoms:
Cell: 2.918 4.133 4.406 Å, 90.00 90.00 90.00°
Atoms (fractional coordinates):
Fe: 0.000 0.000 0.000
Fe: 0.000 0.500 0.286
As: 0.500 0.000 0.462
Ru: 0.500 0.500 0.791


Computed X-ray powder pattern
Compound: FeAs4Ru
Radiation: λ = 1.5418 Å (Cu Kα)
Structure: a cell relaxed with GGA-PBE
Neutral-atom scattering factors, no anomalous dispersion.

Main lines, in order of rising 2θ (10 to 90 degrees two-theta):
two_theta  Rel. int.
31.60  69
36.58  100
37.63  91
40.06  20
48.76  82
49.44  85
49.93  38
75.93  21
76.45  23
78.53  17

Cell and atoms:
Cell: 4.781 6.307 6.428 Å, 90.00 90.00 90.00°
Atoms (fractional coordinates):
Fe: 0.000 0.000 0.000
Fe: 0.500 0.000 0.500
As: 0.000 0.135 0.358
As: 0.000 0.351 0.869
As: 0.000 0.649 0.131
As: 0.000 0.865 0.642
As: 0.500 0.135 0.142
As: 0.500 0.351 0.631
As: 0.500 0.649 0.369
As: 0.500 0.865 0.858
Ru: 0.000 0.500 0.500
Ru: 0.500 0.500 0.000


Computed X-ray powder pattern
Compound: UFeAs2Ru2
Radiation: λ = 1.5418 Å (Cu Kα)
Structure: a cell relaxed with GGA-PBE
Neutral-atom scattering factors, no anomalous dispersion.

Main lines, in order of rising 2θ (10 to 90 degrees two-theta):
two_theta  Rel. int.
17.77  16
22.53  16
32.51  19
35.44  40
36.90  34
38.17  100
44.00  31
47.26  28
48.23  20
54.14  18

Cell and atoms:
Cell: 3.847 6.446 7.892 Å, 90.00 90.00 90.00°
Atoms (fractional coordinates):
U: 0.000 0.152 0.000
U: 0.000 0.848 0.500
Fe: 0.500 0.148 0.413
Fe: 0.500 0.852 0.913
As: 0.000 0.341 0.324
As: 0.000 0.659 0.824
As: 0.500 0.118 0.710
As: 0.500 0.882 0.210
Ru: 0.000 0.349 0.635
Ru: 0.000 0.651 0.135
Ru: 0.500 0.424 0.908
Ru: 0.500 0.576 0.408


Computed X-ray powder pattern
Compound: Fe2SbAs
Radiation: λ = 1.5418 Å (Cu Kα)
Structure: a cell relaxed with GGA-PBE
Neutral-atom scattering factors, no anomalous dispersion.

Main lines, in order of rising 2θ (10 to 90 degrees two-theta):
two_theta  Rel. int.
28.88  22
35.53  100
38.76  19
39.38  38
43.70  32
44.72  25
45.28  48
54.04  17
60.27  21
71.93  14

Cell and atoms:
Cell: 3.394 4.142 4.946 Å, 90.00 110.02 90.00°
Atoms (fractional coordinates):
Fe: 0.000 0.000 0.000
Fe: 0.141 0.500 0.280
Sb: 0.719 0.000 0.439
As: 0.439 0.500 0.873